This entry pairs a crystal structure of Ca2MnGaO5 with its calculated X-ray powder pattern. Radiation: Cu Kα X-rays. Structure: a cell relaxed with GGA+U.

Structural model:
abc: 15.993 5.647 5.395
angles: 90.00 109.70 90.00
Space group Cc (No. 9)
Inequivalent atoms, fractional coordinates:
Ca1 0.000 0.221 0.000 (multiplicity 4)
Ca2 0.220 0.278 0.226 (multiplicity 4)
Mn1 0.110 0.251 0.599 (multiplicity 4)
Ga1 0.360 0.182 0.890 (multiplicity 4)
O1 0.096 0.487 0.325 (multiplicity 4)
O2 0.124 0.021 0.876 (multiplicity 4)
O3 0.255 0.325 0.701 (multiplicity 4)
O4 0.360 0.126 0.242 (multiplicity 4)
O5 0.466 0.325 0.917 (multiplicity 4)

Largest 8 diffraction maxima, low angle first, 2θ = 10–90°:
Position (°2θ), I (rel.), h k l
22.80, 15.8, 1 1 -1
23.68, 22.4, 4 0 0
31.69, 29.4, 0 2 0
33.07, 100.0, 5 1 -1
33.21, 36.9, 2 0 -2
46.56, 32.4, 2 2 -2
48.36, 17.6, 8 0 0
59.25, 21.7, 1 1 3